1.
The following is a computed X-ray powder pattern of CuTeSe. It was derived from a crystal structure in Alexandria, relaxed with PBE, using Cu Kα (λ = 1.5418 Å).
Peak positions follow from Bragg's law for the DFT cell and can differ from measured ones.

Most intense lines, 15° ≤ 2θ ≤ 90°, by angle:
24.36 deg, d 3.654, I 70; 29.83 deg, d 2.995, I 84; 30.45 deg, d 2.936, I 37; 31.17 deg, d 2.870, I 44; 31.53 deg, d 2.837, I 73; 32.57 deg, d 2.749, I 100; 38.52 deg, d 2.337, I 62; 40.29 deg, d 2.238, I 35; 45.09 deg, d 2.011, I 39; 48.60 deg, d 1.873, I 48

Crystal structure
a = 3.7331 Å, b = 5.8036 Å, c = 7.8049 Å
α = 102.46°, β = 103.50°, γ = 100.36°
Fractional positions:
Cu1 0.0999 0.2741 0.0309
Cu2 0.9001 0.7259 0.9691
Te1 0.4545 0.1893 0.7737
Te2 0.5455 0.8107 0.2263
Se1 0.2951 0.7280 0.7537
Se2 0.7049 0.2720 0.2463

2.
The following is a computed X-ray powder pattern of Sm2InGa3. It was derived from a crystal structure in Alexandria, relaxed with PBE, using Cu Kα (λ = 1.5418 Å).
Peak positions follow from Bragg's law for the DFT cell and can differ from measured ones.

Most intense lines, 15° ≤ 2θ ≤ 90°, by angle:
23.40 deg, d 3.802, I 8; 31.68 deg, d 2.824, I 100; 41.08 deg, d 2.197, I 30; 41.22 deg, d 2.190, I 15; 42.87 deg, d 2.109, I 13; 52.72 deg, d 1.736, I 8; 52.87 deg, d 1.732, I 15; 60.88 deg, d 1.522, I 18; 60.98 deg, d 1.519, I 9; 71.54 deg, d 1.319, I 9

Crystal structure
a = 8.7893 Å, b = 8.7097 Å, c = 6.0818 Å
α = 70.37°, β = 68.96°, γ = 40.67°
Fractional positions:
Sm1 0.2482 0.7518 0.7518
Sm2 0.2500 0.2500 0.2500
Sm3 0.7500 0.7500 0.7500
Sm4 0.7518 0.2482 0.2482
In1 0.3336 0.3336 0.6664
In2 0.6664 0.6664 0.3336
Ga1 0.1620 0.1620 0.8380
Ga2 0.1621 0.6768 0.3232
Ga3 0.3232 0.8379 0.1621
Ga4 0.6768 0.1621 0.8379
Ga5 0.8379 0.3232 0.6768
Ga6 0.8380 0.8380 0.1620

3.
The following is a computed X-ray powder pattern of La2U2S7. It was derived from a crystal structure in Alexandria, relaxed with PBE, using Cu Kα (λ = 1.5418 Å).
Peak positions follow from Bragg's law for the DFT cell and can differ from measured ones.

Most intense lines, 15° ≤ 2θ ≤ 90°, by angle:
23.23 deg, d 3.829, I 100; 26.89 deg, d 3.316, I 25; 38.39 deg, d 2.345, I 67; 45.36 deg, d 1.999, I 52; 55.42 deg, d 1.658, I 11; 60.89 deg, d 1.521, I 22; 62.65 deg, d 1.483, I 13; 69.43 deg, d 1.354, I 21; 74.32 deg, d 1.276, I 17; 86.91 deg, d 1.121, I 18

Crystal structure
a = 9.3782 Å, b = 9.3782 Å, c = 9.3782 Å
α = 60.00°, β = 60.00°, γ = 60.00°
Fractional positions:
La1 0.0000 0.0000 0.0000
La2 0.0000 0.0000 0.5000
La3 0.0000 0.5000 0.0000
La4 0.5000 0.0000 0.0000
U1 0.0000 0.5000 0.5000
U2 0.5000 0.0000 0.5000
U3 0.5000 0.5000 0.0000
U4 0.5000 0.5000 0.5000
S1 0.1250 0.1250 0.1250
S2 0.1528 0.1528 0.5972
S3 0.1528 0.5972 0.1528
S4 0.1528 0.5972 0.5972
S5 0.4028 0.4028 0.8472
S6 0.4028 0.8472 0.4028
S7 0.4028 0.8472 0.8472
S8 0.5972 0.1528 0.1528
S9 0.5972 0.1528 0.5972
S10 0.5972 0.5972 0.1528
S11 0.8472 0.4028 0.4028
S12 0.8472 0.4028 0.8472
S13 0.8472 0.8472 0.4028
S14 0.8750 0.8750 0.8750

4.
The following is a computed X-ray powder pattern of YTl3Te3. It was derived from a crystal structure in Alexandria, relaxed with PBE, using Cu Kα (λ = 1.5418 Å).
Peak positions follow from Bragg's law for the DFT cell and can differ from measured ones.

Most intense lines, 15° ≤ 2θ ≤ 90°, by angle:
22.50 deg, d 3.951, I 16; 25.59 deg, d 3.481, I 60; 27.92 deg, d 3.195, I 100; 37.49 deg, d 2.399, I 21; 38.24 deg, d 2.354, I 80; 42.21 deg, d 2.141, I 16; 45.94 deg, d 1.975, I 21; 50.02 deg, d 1.823, I 21; 60.58 deg, d 1.528, I 18; 64.14 deg, d 1.452, I 15

Crystal structure
a = 9.4780 Å, b = 9.4780 Å, c = 9.4780 Å
α = 126.28°, β = 119.17°, γ = 85.47°
Fractional positions:
Y1 0.4596 0.2096 0.2500
Y2 0.5404 0.7904 0.7500
Tl1 0.0000 0.2650 0.2650
Tl2 0.0000 0.7350 0.7350
Tl3 0.0027 0.7527 0.2500
Tl4 0.5000 0.2650 0.7650
Tl5 0.5000 0.7350 0.2350
Tl6 0.9973 0.2473 0.7500
Te1 0.2450 0.9950 0.2500
Te2 0.2825 0.0000 0.7825
Te3 0.2825 0.5000 0.2825
Te4 0.7175 0.0000 0.2175
Te5 0.7175 0.5000 0.7175
Te6 0.7550 0.0050 0.7500

5.
The following is a computed X-ray powder pattern of Y3Si2I2. It was derived from a crystal structure in Alexandria, relaxed with PBE, using Cu Kα (λ = 1.5418 Å).
Peak positions follow from Bragg's law for the DFT cell and can differ from measured ones.

Most intense lines, 15° ≤ 2θ ≤ 90°, by angle:
15.93 deg, d 5.563, I 20; 22.73 deg, d 3.913, I 35; 26.84 deg, d 3.321, I 19; 28.11 deg, d 3.174, I 61; 30.46 deg, d 2.934, I 100; 33.23 deg, d 2.696, I 24; 41.03 deg, d 2.200, I 37; 42.81 deg, d 2.112, I 42; 44.38 deg, d 2.041, I 18; 53.36 deg, d 1.717, I 19

Crystal structure
a = 4.0828 Å, b = 7.2170 Å, c = 7.8396 Å
α = 81.70°, β = 89.98°, γ = 73.63°
Fractional positions:
Y1 0.0000 0.0000 0.0000
Y2 0.2449 0.5093 0.7837
Y3 0.7551 0.4907 0.2163
Si1 0.3761 0.2484 0.1045
Si2 0.6239 0.7516 0.8955
I1 0.1239 0.7534 0.3887
I2 0.8761 0.2466 0.6113

6.
The following is a computed X-ray powder pattern of Nd2TiZn3Pt4. It was derived from a crystal structure in Alexandria, relaxed with PBE, using Cu Kα (λ = 1.5418 Å).
Peak positions follow from Bragg's law for the DFT cell and can differ from measured ones.

Most intense lines, 15° ≤ 2θ ≤ 90°, by angle:
31.57 deg, d 2.834, I 24; 32.21 deg, d 2.779, I 45; 34.53 deg, d 2.597, I 100; 43.71 deg, d 2.071, I 58; 44.69 deg, d 2.028, I 32; 45.93 deg, d 1.976, I 34; 55.32 deg, d 1.661, I 20; 63.53 deg, d 1.464, I 19; 65.26 deg, d 1.430, I 24; 74.36 deg, d 1.276, I 21

Crystal structure
a = 4.1420 Å, b = 4.1420 Å, c = 11.2410 Å
α = 90.00°, β = 90.00°, γ = 90.00°
Fractional positions:
Nd1 0.0000 0.5000 0.2379
Nd2 0.5000 0.0000 0.7621
Ti1 0.0000 0.0000 0.5000
Zn1 0.0000 0.5000 0.8669
Zn2 0.5000 0.0000 0.1331
Zn3 0.5000 0.5000 0.5000
Pt1 0.0000 0.0000 0.0000
Pt2 0.0000 0.5000 0.6415
Pt3 0.5000 0.0000 0.3585
Pt4 0.5000 0.5000 0.0000

7.
The following is a computed X-ray powder pattern of CaNd4Th. It was derived from a crystal structure in Alexandria, relaxed with PBE, using Cu Kα (λ = 1.5418 Å).
Peak positions follow from Bragg's law for the DFT cell and can differ from measured ones.

Most intense lines, 15° ≤ 2θ ≤ 90°, by angle:
29.59 deg, d 3.018, I 100; 29.77 deg, d 3.001, I 99; 34.21 deg, d 2.621, I 33; 34.36 deg, d 2.610, I 34; 34.66 deg, d 2.588, I 33; 49.27 deg, d 1.849, I 23; 49.41 deg, d 1.845, I 24; 58.43 deg, d 1.579, I 16; 58.53 deg, d 1.577, I 27; 58.85 deg, d 1.569, I 22

Crystal structure
a = 3.6599 Å, b = 6.3854 Å, c = 9.7730 Å
α = 77.80°, β = 79.52°, γ = 73.76°
Fractional positions:
Ca1 0.0000 0.0000 0.0000
Nd1 0.3324 0.9890 0.3440
Nd2 0.3373 0.5077 0.8182
Nd3 0.6627 0.4923 0.1818
Nd4 0.6676 0.0110 0.6560
Th1 0.0000 0.5000 0.5000

8.
The following is a computed X-ray powder pattern of AcPr2Sm4Ho. It was derived from a crystal structure in Alexandria, relaxed with PBE, using Cu Kα (λ = 1.5418 Å).
Peak positions follow from Bragg's law for the DFT cell and can differ from measured ones.

Most intense lines, 15° ≤ 2θ ≤ 90°, by angle:
29.72 deg, d 3.006, I 100; 34.42 deg, d 2.605, I 34; 34.51 deg, d 2.599, I 17; 49.52 deg, d 1.841, I 36; 58.79 deg, d 1.571, I 29; 58.90 deg, d 1.568, I 15; 61.72 deg, d 1.503, I 12; 80.36 deg, d 1.195, I 12; 80.46 deg, d 1.194, I 6; 82.82 deg, d 1.166, I 6

Crystal structure
a = 5.1986 Å, b = 5.2151 Å, c = 10.4121 Å
α = 90.00°, β = 90.00°, γ = 90.00°
Fractional positions:
Ac1 0.0000 0.0000 0.0000
Pr1 0.0000 0.0000 0.5000
Pr2 0.5000 0.5000 0.0000
Sm1 0.0000 0.5000 0.2580
Sm2 0.0000 0.5000 0.7420
Sm3 0.5000 0.0000 0.2577
Sm4 0.5000 0.0000 0.7423
Ho1 0.5000 0.5000 0.5000